Structure and computed PXRD pattern of Li2VFeP2O8F2 (the PBE+U geometry in the Materials Project; λ = 1.5418 Å (Cu Kα)).

Structural model:
Cell lengths 6.964, 7.570, 7.790 Å; angles 117.28, 91.19, 90.49 degrees
Fractional coordinates of all 32 atoms:
Li 0.000 0.000 0.000
Li 0.195 0.342 0.966
Li 0.499 0.500 0.500
Li 0.695 0.843 0.466
V 0.597 0.671 0.983
V 0.847 0.421 0.233
Fe 0.097 0.171 0.482
Fe 0.347 0.920 0.733
P 0.247 0.699 0.273
P 0.448 0.143 0.193
P 0.747 0.199 0.773
P 0.948 0.643 0.692
O 0.061 0.458 0.659
O 0.083 0.818 0.715
O 0.113 0.524 0.250
O 0.134 0.885 0.306
O 0.300 0.096 0.021
O 0.344 0.234 0.389
O 0.350 0.610 0.077
O 0.394 0.746 0.445
O 0.561 0.959 0.161
O 0.583 0.317 0.215
O 0.611 0.025 0.752
O 0.633 0.383 0.805
O 0.801 0.597 0.521
O 0.844 0.732 0.888
O 0.852 0.109 0.578
O 0.894 0.246 0.944
F 0.245 0.154 0.702
F 0.450 0.689 0.763
F 0.744 0.654 0.203
F 0.951 0.188 0.264

Top 10 peaks for 10° ≤ 2θ ≤ 80°, most intense first:
2θ/deg	Rel. int.
26.5	100.0
29.0	97.7
26.7	91.5
18.5	61.5
18.3	36.0
17.8	34.4
36.2	32.8
55.4	30.3
22.3	27.8
25.7	26.5

=====

Structure and computed PXRD pattern of Li2VFeP2O8F2 (the PBE+U geometry in the Materials Project; λ = 1.5418 Å (Cu Kα)).

Structural model:
Cell lengths 5.225, 7.412, 15.018 Å; angles 94.19, 92.44, 108.72 degrees
Fractional coordinates of all 48 atoms:
Li 0.064 0.483 0.295
Li 0.269 0.851 0.038
Li 0.397 0.816 0.628
Li 0.603 0.184 0.372
Li 0.731 0.149 0.962
Li 0.936 0.517 0.705
V 0.000 0.000 0.500
V 0.333 0.833 0.833
V 0.667 0.167 0.167
Fe 0.000 0.500 0.500
Fe 0.333 0.333 0.833
Fe 0.667 0.667 0.167
P 0.109 0.048 0.286
P 0.224 0.285 0.047
P 0.443 0.383 0.620
P 0.557 0.617 0.380
P 0.776 0.715 0.953
P 0.891 0.952 0.714
O 0.012 0.152 0.763
O 0.048 0.830 0.916
O 0.092 0.834 0.721
O 0.139 0.289 0.947
O 0.195 0.042 0.386
O 0.238 0.498 0.612
O 0.286 0.504 0.418
O 0.323 0.182 0.571
O 0.346 0.486 0.096
O 0.381 0.163 0.250
O 0.426 0.168 0.055
O 0.472 0.623 0.280
O 0.528 0.377 0.720
O 0.574 0.832 0.945
O 0.619 0.837 0.750
O 0.654 0.514 0.904
O 0.677 0.818 0.429
O 0.714 0.496 0.582
O 0.762 0.502 0.388
O 0.805 0.958 0.614
O 0.861 0.711 0.053
O 0.908 0.166 0.279
O 0.952 0.170 0.084
O 0.988 0.848 0.237
F 0.154 0.786 0.524
F 0.179 0.545 0.809
F 0.487 0.122 0.858
F 0.513 0.878 0.142
F 0.821 0.455 0.191
F 0.846 0.214 0.476

Top 10 peaks for 10° ≤ 2θ ≤ 80°, most intense first:
2θ/deg	Rel. int.
26.5	100.0
29.0	96.1
26.7	90.0
18.5	60.3
18.3	38.3
17.8	33.7
36.2	32.0
22.3	27.4
54.6	25.0
25.7	24.5

=====

Structure and computed PXRD pattern of Li2VFeP2O8F2 (the PBE+U geometry in the Materials Project; λ = 1.5418 Å (Cu Kα)).

Structural model:
Cell lengths 5.225, 5.377, 7.401 Å; angles 106.84, 108.60, 97.86 degrees
Fractional coordinates of all 16 atoms:
Li 0.230 0.384 0.313
Li 0.770 0.616 0.687
V 0.500 0.000 0.500
Fe 0.500 0.000 0.000
P 0.178 0.358 0.738
P 0.822 0.642 0.262
O 0.131 0.755 0.414
O 0.192 0.658 0.842
O 0.251 0.212 0.890
O 0.371 0.334 0.612
O 0.629 0.666 0.388
O 0.749 0.788 0.110
O 0.808 0.342 0.158
O 0.869 0.245 0.586
F 0.371 0.072 0.235
F 0.629 0.928 0.765

Top 10 peaks for 10° ≤ 2θ ≤ 80°, most intense first:
2θ/deg	Rel. int.
26.5	100.0
28.9	94.1
26.7	87.5
18.5	59.3
18.3	43.7
17.8	33.9
36.2	31.1
55.4	29.1
54.6	27.4
22.3	26.2

=====

Structure and computed PXRD pattern of Li2VFeP2O8F2 (the PBE+U geometry in the Materials Project; λ = 1.5418 Å (Cu Kα)).

Structural model:
Cell lengths 6.976, 7.420, 7.987 Å; angles 90.85, 91.61, 117.64 degrees
Fractional coordinates of all 32 atoms:
Li 0.056 0.312 0.173
Li 0.442 0.689 0.327
Li 0.558 0.311 0.673
Li 0.944 0.688 0.827
V 0.000 0.000 0.500
V 0.500 0.500 0.000
Fe 0.000 0.500 0.500
Fe 0.500 0.000 0.000
P 0.019 0.738 0.159
P 0.483 0.263 0.341
P 0.517 0.737 0.659
P 0.981 0.262 0.841
O 0.018 0.110 0.733
O 0.103 0.613 0.269
O 0.177 0.842 0.017
O 0.192 0.413 0.940
O 0.306 0.587 0.561
O 0.326 0.157 0.483
O 0.400 0.390 0.233
O 0.481 0.888 0.770
O 0.519 0.112 0.230
O 0.600 0.610 0.767
O 0.674 0.843 0.517
O 0.694 0.413 0.439
O 0.808 0.587 0.060
O 0.823 0.158 0.983
O 0.897 0.387 0.731
O 0.982 0.890 0.267
F 0.026 0.760 0.601
F 0.473 0.235 0.898
F 0.527 0.765 0.102
F 0.974 0.240 0.399

Top 10 peaks for 10° ≤ 2θ ≤ 80°, most intense first:
2θ/deg	Rel. int.
26.5	100.0
28.9	97.8
26.7	91.2
18.5	60.9
18.3	36.2
17.8	35.1
36.2	31.7
55.4	29.7
22.3	27.3
25.8	26.0